The following is a simulated powder XRD pattern of Li5Co3O8. It was derived from the PBE+U geometry in Alexandria, using Cu Kα X-rays.

Structural model:
abc: 18.963 2.834 4.939
angles: 90.00 93.69 90.00
Space group C2/m (No. 12)
Symmetry-distinct sites (fractional):
Li1 0.000 0.000 0.000 (multiplicity 2)
Li2 0.121 0.500 0.889 (multiplicity 4)
Li3 0.124 0.000 0.385 (multiplicity 4)
Co1 0.000 0.500 0.500 (multiplicity 2)
Co2 0.250 0.000 0.750 (multiplicity 4)
O1 0.055 0.000 0.671 (multiplicity 4)
O2 0.058 0.500 0.222 (multiplicity 4)
O3 0.196 0.000 0.068 (multiplicity 4)
O4 0.197 0.500 0.571 (multiplicity 4)

Main lines, by angle (2θ = 10–90°):
2θ (°), d/Å, I/Imax, hkl
18.0, 4.929, 13, 0 0 1
18.8, 4.731, 100, 4 0 0
19.8, 4.491, 9, 2 0 -1
20.9, 4.260, 10, 2 0 1
37.1, 2.426, 36, 1 1 1
44.6, 2.031, 56, 5 1 1
45.2, 2.006, 26, 6 0 -2
58.7, 1.573, 10, 9 1 1
65.2, 1.431, 14, 11 1 -1
65.6, 1.423, 14, 1 1 -3